No. 1
# MgNbRh2
Simulated powder diffraction line list, copper Kα. Input: a DFT-relaxed cell (PBE, the Materials Project).
Neutral-atom scattering factors, no anomalous dispersion.

Top 10 peaks for 10° ≤ 2θ ≤ 90°, by angle:
2θ = 24.40°, I = 11; 2θ = 28.25°, I = 10; 2θ = 40.38°, I = 100; 2θ = 47.75°, I = 5; 2θ = 50.01°, I = 3; 2θ = 58.43°, I = 16; 2θ = 64.27°, I = 2; 2θ = 66.15°, I = 3; 2θ = 73.43°, I = 33; 2θ = 87.31°, I = 11

abc: 6.3176 6.3176 6.3176
angles: 90.00 90.00 90.00
Atoms (fractional coordinates):
Mg (0.0000, 0.0000, 0.0000)
Mg (0.0000, 0.5000, 0.5000)
Mg (0.5000, 0.0000, 0.5000)
Mg (0.5000, 0.5000, 0.0000)
Nb (0.0000, 0.0000, 0.5000)
Nb (0.0000, 0.5000, 0.0000)
Nb (0.5000, 0.0000, 0.0000)
Nb (0.5000, 0.5000, 0.5000)
Rh (0.2500, 0.2500, 0.2500)
Rh (0.2500, 0.2500, 0.7500)
Rh (0.2500, 0.7500, 0.2500)
Rh (0.2500, 0.7500, 0.7500)
Rh (0.7500, 0.2500, 0.2500)
Rh (0.7500, 0.2500, 0.7500)
Rh (0.7500, 0.7500, 0.2500)
Rh (0.7500, 0.7500, 0.7500)

***

No. 2
# KZnBr3O2
Simulated powder diffraction line list, copper Kα. Input: a DFT-relaxed cell (PBE, the Materials Project).
Neutral-atom scattering factors, no anomalous dispersion.

Top 10 peaks for 10° ≤ 2θ ≤ 90°, by angle:
2θ = 15.60°, I = 50; 2θ = 17.81°, I = 39; 2θ = 23.25°, I = 43; 2θ = 25.18°, I = 100; 2θ = 26.22°, I = 86; 2θ = 28.06°, I = 58; 2θ = 30.64°, I = 63; 2θ = 32.19°, I = 29; 2θ = 43.91°, I = 40; 2θ = 46.79°, I = 37

abc: 7.3479 8.9604 13.5445
angles: 90.00 90.00 90.00
Atoms (fractional coordinates):
K (0.1033, 0.0316, 0.0920)
K (0.3967, 0.9684, 0.5920)
K (0.6033, 0.4684, 0.9080)
K (0.8967, 0.5316, 0.4080)
Zn (0.1735, 0.4754, 0.0877)
Zn (0.3265, 0.5246, 0.5877)
Zn (0.6735, 0.0246, 0.9123)
Zn (0.8265, 0.9754, 0.4123)
Br (0.0968, 0.3564, 0.9377)
Br (0.1464, 0.3410, 0.2358)
Br (0.1647, 0.2994, 0.5812)
Br (0.3353, 0.7006, 0.0812)
Br (0.3536, 0.6590, 0.7358)
Br (0.4032, 0.6436, 0.4377)
Br (0.5968, 0.1436, 0.0623)
Br (0.6464, 0.1590, 0.7642)
Br (0.6647, 0.2006, 0.4188)
Br (0.8353, 0.7994, 0.9188)
Br (0.8536, 0.8410, 0.2642)
Br (0.9032, 0.8564, 0.5623)
O (0.1768, 0.0198, 0.8013)
O (0.2412, 0.0193, 0.3764)
O (0.2588, 0.9807, 0.8764)
O (0.3232, 0.9802, 0.3013)
O (0.6768, 0.4802, 0.1987)
O (0.7412, 0.4807, 0.6236)
O (0.7588, 0.5193, 0.1236)
O (0.8232, 0.5198, 0.6987)

***

No. 3
# TeMoWSeS2
Simulated powder diffraction line list, copper Kα. Input: a DFT-relaxed cell (PBE, the Materials Project).
Neutral-atom scattering factors, no anomalous dispersion.

Top 10 peaks for 10° ≤ 2θ ≤ 90°, by angle:
2θ = 11.75°, I = 100; 2θ = 14.11°, I = 16; 2θ = 31.25°, I = 47; 2θ = 33.46°, I = 13; 2θ = 35.49°, I = 18; 2θ = 36.71°, I = 78; 2θ = 38.06°, I = 21; 2θ = 44.47°, I = 42; 2θ = 46.29°, I = 15; 2θ = 55.56°, I = 31

abc: 3.3090 3.3090 37.6629
angles: 90.00 90.00 120.00
Atoms (fractional coordinates):
Te (0.0000, 0.0000, 0.0000)
Te (0.0000, 0.0000, 0.1020)
Mo (0.0000, 0.0000, 0.8631)
Mo (0.6667, 0.3333, 0.6753)
W (0.0000, 0.0000, 0.2389)
W (0.6667, 0.3333, 0.0510)
Se (0.6667, 0.3333, 0.8186)
Se (0.6667, 0.3333, 0.9076)
S (0.0000, 0.0000, 0.6346)
S (0.0000, 0.0000, 0.7159)
S (0.6667, 0.3333, 0.1982)
S (0.6667, 0.3333, 0.2796)

***

No. 4
# In3Sb5O12
Simulated powder diffraction line list, copper Kα. Input: a DFT-relaxed cell (PBE, the Materials Project).
Neutral-atom scattering factors, no anomalous dispersion.

Top 10 peaks for 10° ≤ 2θ ≤ 90°, by angle:
2θ = 11.67°, I = 9; 2θ = 28.83°, I = 100; 2θ = 33.41°, I = 33; 2θ = 47.98°, I = 42; 2θ = 56.94°, I = 36; 2θ = 59.72°, I = 8; 2θ = 70.19°, I = 5; 2θ = 77.59°, I = 11; 2θ = 80.00°, I = 9; 2θ = 89.52°, I = 8

abc: 9.2899 9.2899 9.2899
angles: 109.47 109.47 109.47
Atoms (fractional coordinates):
In (0.2500, 0.5000, 0.7500)
In (0.2500, 0.7500, 0.5000)
In (0.5000, 0.2500, 0.7500)
In (0.5000, 0.7500, 0.2500)
In (0.7500, 0.2500, 0.5000)
In (0.7500, 0.5000, 0.2500)
Sb (0.0000, 0.0000, 0.4826)
Sb (0.0000, 0.2832, 0.2832)
Sb (0.0000, 0.4826, 0.0000)
Sb (0.0000, 0.7168, 0.7168)
Sb (0.2832, 0.0000, 0.2832)
Sb (0.2832, 0.2832, 0.0000)
Sb (0.4826, 0.0000, 0.0000)
Sb (0.5174, 0.5174, 0.5174)
Sb (0.7168, 0.0000, 0.7168)
Sb (0.7168, 0.7168, 0.0000)
O (0.0000, 0.2974, 0.5073)
O (0.0000, 0.5073, 0.2974)
O (0.0000, 0.5270, 0.8007)
O (0.0000, 0.8007, 0.5270)
O (0.1993, 0.1993, 0.7263)
O (0.1993, 0.7263, 0.1993)
O (0.2099, 0.7026, 0.7026)
O (0.2737, 0.4730, 0.4730)
O (0.2974, 0.0000, 0.5073)
O (0.2974, 0.5073, 0.0000)
O (0.4730, 0.2737, 0.4730)
O (0.4730, 0.4730, 0.2737)
O (0.4927, 0.4927, 0.7901)
O (0.4927, 0.7901, 0.4927)
O (0.5073, 0.0000, 0.2974)
O (0.5073, 0.2974, 0.0000)
O (0.5270, 0.0000, 0.8007)
O (0.5270, 0.8007, 0.0000)
O (0.7026, 0.2099, 0.7026)
O (0.7026, 0.7026, 0.2099)
O (0.7263, 0.1993, 0.1993)
O (0.7901, 0.4927, 0.4927)
O (0.8007, 0.0000, 0.5270)
O (0.8007, 0.5270, 0.0000)

***

No. 5
# ZnGa2S4
Simulated powder diffraction line list, copper Kα. Input: a DFT-relaxed cell (PBE, the Materials Project).
Neutral-atom scattering factors, no anomalous dispersion.

Top 10 peaks for 10° ≤ 2θ ≤ 90°, by angle:
2θ = 22.03°, I = 100; 2θ = 27.86°, I = 57; 2θ = 28.59°, I = 76; 2θ = 29.78°, I = 48; 2θ = 33.34°, I = 46; 2θ = 40.86°, I = 56; 2θ = 43.79°, I = 30; 2θ = 48.82°, I = 85; 2θ = 50.15°, I = 30; 2θ = 54.16°, I = 50

abc: 3.7311 3.7311 24.2087
angles: 90.00 90.00 120.00
Atoms (fractional coordinates):
Zn (0.0000, 0.0000, 0.0000)
Zn (0.0000, 0.0000, 0.5000)
Ga (0.3333, 0.6667, 0.1556)
Ga (0.3333, 0.6667, 0.8092)
Ga (0.6667, 0.3333, 0.3092)
Ga (0.6667, 0.3333, 0.6556)
S (0.0000, 0.0000, 0.1073)
S (0.0000, 0.0000, 0.3485)
S (0.0000, 0.0000, 0.6073)
S (0.0000, 0.0000, 0.8485)
S (0.3333, 0.6667, 0.7151)
S (0.3333, 0.6667, 0.9714)
S (0.6667, 0.3333, 0.2151)
S (0.6667, 0.3333, 0.4714)

***

No. 6
# CaMg14Ti
Simulated powder diffraction line list, copper Kα. Input: a DFT-relaxed cell (PBE, the Materials Project).
Neutral-atom scattering factors, no anomalous dispersion.

Top 10 peaks for 10° ≤ 2θ ≤ 90°, by angle:
2θ = 31.84°, I = 25; 2θ = 34.76°, I = 25; 2θ = 36.40°, I = 100; 2θ = 47.85°, I = 15; 2θ = 56.70°, I = 11; 2θ = 56.80°, I = 6; 2θ = 63.39°, I = 18; 2θ = 68.28°, I = 19; 2θ = 69.22°, I = 5; 2θ = 69.34°, I = 9

abc: 10.3234 6.4938 6.4938
angles: 59.89 90.00 90.00
Atoms (fractional coordinates):
Ca (0.0000, 0.0000, 0.0000)
Mg (0.0000, 0.0050, 0.5004)
Mg (0.0000, 0.5004, 0.0050)
Mg (0.2439, 0.6640, 0.6640)
Mg (0.2521, 0.1756, 0.6581)
Mg (0.2521, 0.6581, 0.1756)
Mg (0.2557, 0.1699, 0.1699)
Mg (0.5000, 0.0001, 0.0001)
Mg (0.5000, 0.5010, 0.5010)
Mg (0.5000, 0.5013, 0.9993)
Mg (0.5000, 0.9993, 0.5013)
Mg (0.7443, 0.1699, 0.1699)
Mg (0.7479, 0.1756, 0.6581)
Mg (0.7479, 0.6581, 0.1756)
Mg (0.7561, 0.6640, 0.6640)
Ti (0.0000, 0.4967, 0.4967)

***

No. 7
# Bi4Au
Simulated powder diffraction line list, copper Kα. Input: a DFT-relaxed cell (PBE, the Materials Project).
Neutral-atom scattering factors, no anomalous dispersion.

Top 10 peaks for 10° ≤ 2θ ≤ 90°, by angle:
2θ = 22.68°, I = 33; 2θ = 27.87°, I = 100; 2θ = 32.29°, I = 24; 2θ = 35.28°, I = 48; 2θ = 42.35°, I = 55; 2θ = 46.32°, I = 44; 2θ = 54.92°, I = 21; 2θ = 59.54°, I = 21; 2θ = 62.70°, I = 15; 2θ = 69.37°, I = 20

abc: 7.8411 7.8411 7.8411
angles: 60.00 60.00 60.00
Atoms (fractional coordinates):
Bi (0.1804, 0.7732, 0.7732)
Bi (0.2268, 0.2268, 0.2268)
Bi (0.2268, 0.2268, 0.8196)
Bi (0.2268, 0.8196, 0.2268)
Bi (0.7732, 0.1804, 0.7732)
Bi (0.7732, 0.7732, 0.1804)
Bi (0.7732, 0.7732, 0.7732)
Bi (0.8196, 0.2268, 0.2268)
Au (0.3750, 0.3750, 0.3750)
Au (0.6250, 0.6250, 0.6250)